# 1
# Sr2CuSbAs
Simulated PXRD pattern, a wavelength of 1.5418 Å. Input: a cell relaxed with PBE.

Structural model:
Cell: 7.5131 4.4053 9.6614 Å, 90.00 108.53 90.00°
Fractional coordinates of all 10 atoms:
Sr (0.2129, 0.2500, 0.4114)
Sr (0.2438, 0.2500, 0.9749)
Sr (0.7562, 0.7500, 0.0251)
Sr (0.7871, 0.7500, 0.5886)
Cu (0.4989, 0.7500, 0.2553)
Cu (0.5011, 0.2500, 0.7447)
Sb (0.3071, 0.7500, 0.7094)
Sb (0.6929, 0.2500, 0.2906)
As (0.1757, 0.7500, 0.1836)
As (0.8243, 0.2500, 0.8164)

Most intense lines, 2θ = 10–90°, low angle first:
2θ = 19.4°, I = 19
2θ = 25.0°, I = 27
2θ = 28.1°, I = 100
2θ = 33.4°, I = 43
2θ = 36.1°, I = 18
2θ = 37.2°, I = 26
2θ = 41.0°, I = 26
2θ = 41.5°, I = 16
2θ = 42.2°, I = 13
2θ = 56.5°, I = 15

# 2
# Cu4AsSe3
Simulated PXRD pattern, a wavelength of 1.5418 Å. Input: a cell relaxed with PBE.

Structural model:
Cell: 7.9143 5.4919 7.0336 Å, 90.00 90.00 90.00°
Fractional coordinates of all 16 atoms:
Cu (0.0000, 0.0393, 0.0000)
Cu (0.0000, 0.6965, 0.5418)
Cu (0.2397, 0.2955, 0.5023)
Cu (0.2603, 0.7045, 0.0023)
Cu (0.5000, 0.3035, 0.0418)
Cu (0.5000, 0.9607, 0.5000)
Cu (0.7397, 0.7045, 0.0023)
Cu (0.7603, 0.2955, 0.5023)
As (0.0000, 0.6788, 0.2001)
As (0.5000, 0.3212, 0.7001)
Se (0.0000, 0.1177, 0.6608)
Se (0.2112, 0.3083, 0.1574)
Se (0.2888, 0.6917, 0.6574)
Se (0.5000, 0.8823, 0.1608)
Se (0.7112, 0.6917, 0.6574)
Se (0.7888, 0.3083, 0.1574)

Most intense lines, 2θ = 10–90°, low angle first:
2θ = 23.4°, I = 35
2θ = 25.3°, I = 79
2θ = 27.8°, I = 31
2θ = 30.6°, I = 93
2θ = 32.6°, I = 29
2θ = 34.6°, I = 23
2θ = 43.5°, I = 25
2θ = 45.9°, I = 40
2θ = 47.8°, I = 33
2θ = 48.1°, I = 100

# 3
# CuAsSe2
Simulated PXRD pattern, a wavelength of 1.5418 Å. Input: a cell relaxed with PBE.

Structural model:
Cell: 7.6089 8.0874 6.2981 Å, 90.00 90.00 90.00°
Fractional coordinates of all 16 atoms:
Cu (0.0548, 0.1319, 0.0000)
Cu (0.4452, 0.6319, 0.5000)
Cu (0.5548, 0.3681, 0.0000)
Cu (0.9452, 0.8681, 0.5000)
As (0.1385, 0.6084, 0.0021)
As (0.3615, 0.1084, 0.5021)
As (0.6385, 0.8916, 0.0021)
As (0.8615, 0.3916, 0.5021)
Se (0.0333, 0.1460, 0.3822)
Se (0.1421, 0.6550, 0.3826)
Se (0.3579, 0.1550, 0.8826)
Se (0.4667, 0.6460, 0.8822)
Se (0.5333, 0.3540, 0.3822)
Se (0.6421, 0.8450, 0.3826)
Se (0.8579, 0.3450, 0.8826)
Se (0.9667, 0.8540, 0.8822)

Most intense lines, 2θ = 10–90°, low angle first:
2θ = 24.9°, I = 100
2θ = 28.3°, I = 76
2θ = 28.7°, I = 43
2θ = 37.1°, I = 42
2θ = 38.1°, I = 39
2θ = 42.1°, I = 31
2θ = 44.8°, I = 30
2θ = 49.6°, I = 27
2θ = 50.4°, I = 53
2θ = 51.5°, I = 24

# 4
# Cu5AsSe6
Simulated PXRD pattern, a wavelength of 1.5418 Å. Input: a cell relaxed with PBE.

Structural model:
Cell: 6.3995 6.3995 6.5160 Å, 101.16 101.16 117.76°
Fractional coordinates of all 12 atoms:
Cu (0.0000, 0.0000, 0.0000)
Cu (0.1652, 0.8348, 0.5000)
Cu (0.3362, 0.6638, 0.0000)
Cu (0.6638, 0.3362, 0.0000)
Cu (0.8348, 0.1652, 0.5000)
As (0.5000, 0.5000, 0.5000)
Se (0.0354, 0.3697, 0.2539)
Se (0.2766, 0.2766, 0.7672)
Se (0.3697, 0.0354, 0.2539)
Se (0.6303, 0.9646, 0.7461)
Se (0.7234, 0.7234, 0.2328)
Se (0.9646, 0.6303, 0.7461)

Most intense lines, 2θ = 10–90°, low angle first:
2θ = 32.9°, I = 52
2θ = 34.6°, I = 100
2θ = 48.2°, I = 28
2θ = 48.8°, I = 36
2θ = 49.7°, I = 15
2θ = 49.9°, I = 18
2θ = 61.1°, I = 16
2θ = 61.4°, I = 9
2θ = 73.1°, I = 9
2θ = 83.0°, I = 10

# 5
# CuAs2Se3
Simulated PXRD pattern, a wavelength of 1.5418 Å. Input: a cell relaxed with PBE.

Structural model:
Cell: 7.3063 7.3063 6.1959 Å, 90.00 90.00 75.47°
Fractional coordinates of all 12 atoms:
Cu (0.1592, 0.8408, 0.5000)
Cu (0.8408, 0.1592, 0.0000)
As (0.2013, 0.5507, 0.9812)
As (0.4493, 0.7987, 0.9812)
As (0.5507, 0.2013, 0.4812)
As (0.7987, 0.4493, 0.4812)
Se (0.1077, 0.8923, 0.8793)
Se (0.1385, 0.5409, 0.3627)
Se (0.4591, 0.8615, 0.3627)
Se (0.5409, 0.1385, 0.8627)
Se (0.8615, 0.4591, 0.8627)
Se (0.8923, 0.1077, 0.3793)

Most intense lines, 2θ = 10–90°, low angle first:
2θ = 19.9°, I = 100
2θ = 24.6°, I = 37
2θ = 25.2°, I = 84
2θ = 28.8°, I = 84
2θ = 29.1°, I = 60
2θ = 38.2°, I = 77
2θ = 38.6°, I = 36
2θ = 43.0°, I = 33
2θ = 48.5°, I = 72
2θ = 51.2°, I = 63

# 6
# CuSiAs2
Simulated PXRD pattern, a wavelength of 1.5418 Å. Input: a cell relaxed with PBE.

Structural model:
Cell: 3.6928 6.7640 7.0313 Å, 82.32 89.96 74.25°
Fractional coordinates of all 8 atoms:
Cu (0.0000, 0.0000, 0.0000)
Cu (0.2452, 0.5118, 0.7549)
Si (0.5022, 0.9933, 0.4924)
Si (0.7552, 0.4886, 0.2450)
As (0.0570, 0.8826, 0.6925)
As (0.3130, 0.3723, 0.4515)
As (0.5678, 0.8629, 0.1901)
As (0.8159, 0.3689, 0.9421)

Most intense lines, 2θ = 10–90°, low angle first:
2θ = 27.4°, I = 51
2θ = 27.7°, I = 49
2θ = 28.7°, I = 100
2θ = 45.9°, I = 48
2θ = 46.3°, I = 46
2θ = 46.5°, I = 22
2θ = 49.4°, I = 19
2θ = 53.5°, I = 13
2θ = 55.4°, I = 15
2θ = 55.7°, I = 14

# 7
# CuSiAs
Simulated PXRD pattern, a wavelength of 1.5418 Å. Input: a cell relaxed with PBE.

Structural model:
Cell: 3.6644 3.9849 8.0106 Å, 98.30 94.96 101.35°
Fractional coordinates of all 6 atoms:
Cu (0.2349, 0.1493, 0.1371)
Cu (0.7651, 0.8507, 0.8629)
Si (0.3525, 0.2878, 0.8662)
Si (0.6475, 0.7122, 0.1338)
As (0.1900, 0.7056, 0.3317)
As (0.8100, 0.2944, 0.6683)

Most intense lines, 2θ = 10–90°, low angle first:
2θ = 11.2°, I = 49
2θ = 22.6°, I = 37
2θ = 26.2°, I = 51
2θ = 27.4°, I = 46
2θ = 28.7°, I = 100
2θ = 29.6°, I = 60
2θ = 32.7°, I = 71
2θ = 45.6°, I = 50
2θ = 46.7°, I = 62
2θ = 47.0°, I = 33

# 8
# Sm2Cu3As3
Simulated PXRD pattern, a wavelength of 1.5418 Å. Input: a cell relaxed with PBE.

Structural model:
Cell: 13.4912 4.0589 11.1492 Å, 90.00 90.00 90.00°
Fractional coordinates of all 32 atoms:
Sm (0.0027, 0.2500, 0.1587)
Sm (0.2046, 0.7500, 0.5689)
Sm (0.2954, 0.2500, 0.0689)
Sm (0.4973, 0.7500, 0.6587)
Sm (0.5027, 0.2500, 0.3413)
Sm (0.7046, 0.7500, 0.9311)
Sm (0.7954, 0.2500, 0.4311)
Sm (0.9973, 0.7500, 0.8413)
Cu (0.0137, 0.2500, 0.6055)
Cu (0.1660, 0.7500, 0.2751)
Cu (0.2244, 0.7500, 0.8577)
Cu (0.2756, 0.2500, 0.3577)
Cu (0.3340, 0.2500, 0.7751)
Cu (0.4863, 0.7500, 0.1055)
Cu (0.5137, 0.2500, 0.8945)
Cu (0.6660, 0.7500, 0.2249)
Cu (0.7244, 0.7500, 0.6423)
Cu (0.7756, 0.2500, 0.1423)
Cu (0.8340, 0.2500, 0.7249)
Cu (0.9863, 0.7500, 0.3945)
As (0.0963, 0.2500, 0.4001)
As (0.1325, 0.7500, 0.0569)
As (0.1459, 0.2500, 0.7634)
As (0.3541, 0.7500, 0.2634)
As (0.3675, 0.2500, 0.5569)
As (0.4037, 0.7500, 0.9001)
As (0.5963, 0.2500, 0.0999)
As (0.6325, 0.7500, 0.4431)
As (0.6459, 0.2500, 0.7366)
As (0.8541, 0.7500, 0.2366)
As (0.8675, 0.2500, 0.9431)
As (0.9037, 0.7500, 0.5999)

Most intense lines, 2θ = 10–90°, low angle first:
2θ = 30.7°, I = 36
2θ = 32.7°, I = 45
2θ = 32.8°, I = 39
2θ = 33.8°, I = 100
2θ = 34.6°, I = 45
2θ = 35.3°, I = 42
2θ = 35.5°, I = 58
2θ = 39.8°, I = 33
2θ = 43.4°, I = 38
2θ = 44.7°, I = 67